# Pa2FeCo
Theoretical powder XRD pattern, CuKα. Input: a crystal structure in OQMD, relaxed with GGA-PBE.
Peak positions follow from Bragg's law for the DFT cell and can differ from measured ones.

The 6 most intense peaks (2θ from 15° to 90°), most intense first:
- 35.4°, 2.533 Å, rel. 100
- 29.1°, 3.072 Å, rel. 79
- 33.2°, 2.702 Å, rel. 73
- 35.6°, 2.519 Å, rel. 67
- 43.2°, 2.095 Å, rel. 36
- 42.7°, 2.120 Å, rel. 34

Cell and atoms:
```
Pa2FeCo
1.0
5.7286 0.0000 0.0000
0.0000 3.7346 0.0000
-2.4019 0.0000 6.8239
Pa Fe Co
4 2 2
direct
0.2296 0.2500 0.4303
0.2313 0.2500 0.9392
0.7687 0.7500 0.0608
0.7704 0.7500 0.5697
0.3012 0.7500 0.2053
0.6988 0.2500 0.7947
0.3077 0.7500 0.7029
0.6923 0.2500 0.2971
```

# IrCl3
Theoretical powder XRD pattern, CuKα. Input: a crystal structure in OQMD, relaxed with GGA-PBE.
Peak positions follow from Bragg's law for the DFT cell and can differ from measured ones.

The 6 most intense peaks (2θ from 15° to 90°), most intense first:
- 16.0°, 5.536 Å, rel. 100
- 36.2°, 2.481 Å, rel. 36
- 26.2°, 3.396 Å, rel. 26
- 52.0°, 1.759 Å, rel. 24
- 19.7°, 4.508 Å, rel. 19
- 36.0°, 2.494 Å, rel. 18

Cell and atoms:
```
IrCl3
1.0
0.0000 4.9882 10.5310
3.5070 0.0000 10.5310
3.5070 4.9882 0.0000
Ir Cl
4 12
direct
0.0417 0.0417 0.2083
0.2083 0.2083 0.0417
0.7917 0.7917 0.9583
0.9583 0.9583 0.7917
0.0365 0.5387 0.1867
0.1007 0.6493 0.6493
0.1867 0.7382 0.0365
0.2618 0.8133 0.4613
0.3507 0.8993 0.8993
0.4613 0.9635 0.2618
0.5387 0.0365 0.7382
0.6493 0.1007 0.1007
0.7382 0.1867 0.5387
0.8133 0.2618 0.9635
0.8993 0.3507 0.3507
0.9635 0.4613 0.8133
```

# Cs3Cu2I5
Theoretical powder XRD pattern, CuKα. Input: a crystal structure in OQMD, relaxed with GGA-PBE.
Peak positions follow from Bragg's law for the DFT cell and can differ from measured ones.

The 6 most intense peaks (2θ from 15° to 90°), most intense first:
- 26.0°, 3.430 Å, rel. 100
- 25.3°, 3.522 Å, rel. 51
- 23.7°, 3.754 Å, rel. 44
- 30.3°, 2.948 Å, rel. 40
- 27.7°, 3.224 Å, rel. 37
- 47.1°, 1.928 Å, rel. 29

Cell and atoms:
```
Cs3Cu2I5
1.0
10.3335 0.0000 0.0000
0.0000 11.7911 0.0000
0.0000 0.0000 14.5560
Cs Cu I
12 8 20
direct
0.0598 0.0136 0.1741
0.0598 0.4864 0.1741
0.0898 0.7500 0.4513
0.4102 0.2500 0.9513
0.4402 0.5136 0.6741
0.4402 0.9864 0.6741
0.5598 0.0136 0.3259
0.5598 0.4864 0.3259
0.5898 0.7500 0.0487
0.9102 0.2500 0.5487
0.9402 0.5136 0.8259
0.9402 0.9864 0.8259
0.2126 0.7500 0.0415
0.2350 0.7500 0.8705
0.2650 0.2500 0.3705
0.2874 0.2500 0.5415
0.7126 0.7500 0.4585
0.7350 0.7500 0.6295
0.7650 0.2500 0.1295
0.7874 0.2500 0.9585
0.0370 0.2500 0.9864
0.1520 0.7500 0.7076
0.1948 0.0616 0.4458
0.1948 0.4384 0.4458
0.2045 0.2500 0.7086
0.2955 0.7500 0.2086
0.3052 0.5616 0.9458
0.3052 0.9384 0.9458
0.3480 0.2500 0.2076
0.4630 0.7500 0.4864
0.5370 0.2500 0.5136
0.6520 0.7500 0.7924
0.6948 0.0616 0.0542
0.6948 0.4384 0.0542
0.7045 0.2500 0.7914
0.7955 0.7500 0.2914
0.8052 0.5616 0.5542
0.8052 0.9384 0.5542
0.8480 0.2500 0.2924
0.9630 0.7500 0.0136
```

# BaTe3IrAu
Theoretical powder XRD pattern, CuKα. Input: a crystal structure in OQMD, relaxed with GGA-PBE.
Peak positions follow from Bragg's law for the DFT cell and can differ from measured ones.

The 6 most intense peaks (2θ from 15° to 90°), most intense first:
- 28.6°, 3.123 Å, rel. 100
- 27.4°, 3.253 Å, rel. 84
- 32.1°, 2.790 Å, rel. 81
- 42.7°, 2.117 Å, rel. 58
- 36.1°, 2.486 Å, rel. 49
- 49.1°, 1.856 Å, rel. 39

Cell and atoms:
```
BaTe3IrAu
1.0
2.1005 -7.7086 0.0000
2.1005 7.7086 0.0000
0.0000 0.0000 11.1614
Ba Te Ir Au
2 6 2 2
direct
0.2332 0.7668 0.7500
0.7668 0.2332 0.2500
0.1098 0.8902 0.0142
0.1098 0.8902 0.4858
0.4528 0.5472 0.2500
0.5472 0.4528 0.7500
0.8902 0.1098 0.5142
0.8902 0.1098 0.9858
0.5000 0.5000 0.0000
0.5000 0.5000 0.5000
0.1076 0.8924 0.2500
0.8924 0.1076 0.7500
```

# Ga2CuSe3S
Theoretical powder XRD pattern, CuKα. Input: a crystal structure in OQMD, relaxed with GGA-PBE.
Peak positions follow from Bragg's law for the DFT cell and can differ from measured ones.

The 6 most intense peaks (2θ from 15° to 90°), most intense first:
- 28.6°, 3.124 Å, rel. 100
- 28.0°, 3.190 Å, rel. 58
- 28.4°, 3.146 Å, rel. 50
- 55.8°, 1.648 Å, rel. 29
- 46.7°, 1.945 Å, rel. 25
- 47.0°, 1.935 Å, rel. 25

Cell and atoms:
```
Ga2CuSe3S
1.0
5.4649 0.0000 0.0000
0.0517 5.4878 0.0000
2.6474 2.6833 5.3965
Ga Cu Se S
2 1 3 1
direct
0.0000 0.0000 0.0000
0.2421 0.7534 0.4902
0.4849 0.5118 0.0027
0.3969 0.3699 0.7325
0.6233 0.1389 0.2636
0.8546 0.8998 0.7317
0.1151 0.6230 0.2482
```

# SmPdO3
Theoretical powder XRD pattern, CuKα. Input: a crystal structure in OQMD, relaxed with GGA-PBE.
Peak positions follow from Bragg's law for the DFT cell and can differ from measured ones.

The 6 most intense peaks (2θ from 15° to 90°), most intense first:
- 31.0°, 2.880 Å, rel. 100
- 32.3°, 2.773 Å, rel. 48
- 56.8°, 1.621 Å, rel. 37
- 46.3°, 1.961 Å, rel. 28
- 54.4°, 1.685 Å, rel. 21
- 64.7°, 1.440 Å, rel. 12

Cell and atoms:
```
SmPdO3
1.0
3.9216 0.0000 0.0000
0.0000 3.9216 0.0000
0.0000 0.0000 4.2441
Sm Pd O
1 1 3
direct
0.0000 0.0000 0.0000
0.5000 0.5000 0.5879
0.0000 0.5000 0.6691
0.5000 0.0000 0.6691
0.5000 0.5000 0.0966
```

# Rb2PdBr2F2
Theoretical powder XRD pattern, CuKα. Input: a crystal structure in OQMD, relaxed with GGA-PBE.
Peak positions follow from Bragg's law for the DFT cell and can differ from measured ones.

The 6 most intense peaks (2θ from 15° to 90°), most intense first:
- 29.1°, 3.066 Å, rel. 100
- 37.0°, 2.427 Å, rel. 52
- 26.0°, 3.421 Å, rel. 45
- 53.4°, 1.716 Å, rel. 35
- 34.6°, 2.590 Å, rel. 28
- 47.8°, 1.903 Å, rel. 23

Cell and atoms:
```
Rb2PdBr2F2
1.0
3.9454 0.0000 0.0000
0.0000 6.8687 0.0000
0.0000 0.0000 6.8689
Rb Pd Br F
2 1 2 2
direct
0.0000 0.0000 0.0000
0.0000 0.5000 0.3331
0.5000 0.5000 0.8986
0.5000 0.2492 0.6563
0.5000 0.7508 0.6563
0.5000 0.2887 0.1152
0.5000 0.7113 0.1152
```

# RbBaTmS3
Theoretical powder XRD pattern, CuKα. Input: a crystal structure in OQMD, relaxed with GGA-PBE.
Peak positions follow from Bragg's law for the DFT cell and can differ from measured ones.

The 6 most intense peaks (2θ from 15° to 90°), most intense first:
- 29.4°, 3.036 Å, rel. 100
- 40.7°, 2.216 Å, rel. 66
- 24.1°, 3.695 Å, rel. 60
- 27.5°, 3.241 Å, rel. 52
- 25.6°, 3.475 Å, rel. 48
- 48.2°, 1.888 Å, rel. 23

Cell and atoms:
```
RbBaTmS3
1.0
12.9645 0.0000 0.0000
0.0000 4.1165 0.0000
0.0000 0.0000 13.4912
Rb Ba Tm S
4 4 4 12
direct
0.1155 0.2500 0.0722
0.3845 0.7500 0.5722
0.6155 0.2500 0.4278
0.8845 0.7500 0.9278
0.1285 0.2500 0.4175
0.3715 0.7500 0.9175
0.6285 0.2500 0.0825
0.8715 0.7500 0.5825
0.1516 0.2500 0.7453
0.3484 0.7500 0.2453
0.6516 0.2500 0.7547
0.8484 0.7500 0.2547
0.1192 0.7500 0.6055
0.1306 0.7500 0.8728
0.1513 0.7500 0.2526
0.3487 0.2500 0.7526
0.3694 0.2500 0.3728
0.3808 0.2500 0.1055
0.6192 0.7500 0.8945
0.6306 0.7500 0.6272
0.6513 0.7500 0.2474
0.8487 0.2500 0.7474
0.8694 0.2500 0.1272
0.8808 0.2500 0.3945
```

# AlZnInTe3Se
Theoretical powder XRD pattern, CuKα. Input: a crystal structure in OQMD, relaxed with GGA-PBE.
Peak positions follow from Bragg's law for the DFT cell and can differ from measured ones.

The 6 most intense peaks (2θ from 15° to 90°), most intense first:
- 25.7°, 3.467 Å, rel. 100
- 25.4°, 3.508 Å, rel. 40
- 42.1°, 2.146 Å, rel. 32
- 42.5°, 2.125 Å, rel. 29
- 50.6°, 1.805 Å, rel. 19
- 34.5°, 2.602 Å, rel. 15

Cell and atoms:
```
AlZnInTe3Se
1.0
5.9769 0.0000 0.0000
0.0558 5.9839 0.0000
2.9528 2.9506 6.1116
Al Zn In Te Se
1 1 1 3 1
direct
0.0000 0.0000 0.0000
0.4813 0.5218 0.9969
0.2388 0.7619 0.4834
0.3984 0.3576 0.7365
0.6466 0.1616 0.2515
0.8417 0.9271 0.7367
0.0977 0.6287 0.2350
```

# SmNb2CuSi2
Theoretical powder XRD pattern, CuKα. Input: a crystal structure in OQMD, relaxed with GGA-PBE.
Peak positions follow from Bragg's law for the DFT cell and can differ from measured ones.

The 6 most intense peaks (2θ from 15° to 90°), most intense first:
- 34.3°, 2.611 Å, rel. 100
- 40.2°, 2.243 Å, rel. 69
- 46.2°, 1.967 Å, rel. 47
- 25.5°, 3.492 Å, rel. 46
- 32.8°, 2.731 Å, rel. 44
- 35.5°, 2.530 Å, rel. 31

Cell and atoms:
```
SmNb2CuSi2
1.0
3.9331 0.0000 0.0000
0.0000 3.9331 0.0000
0.0000 0.0000 7.5895
Sm Nb Cu Si
1 2 1 2
direct
0.0000 0.0000 0.0000
0.0000 0.5000 0.3798
0.5000 0.0000 0.3798
0.5000 0.5000 0.6627
0.0000 0.0000 0.6225
0.5000 0.5000 0.1344
```

# Li2Sc2AlGePt2
Theoretical powder XRD pattern, CuKα. Input: a crystal structure in OQMD, relaxed with GGA-PBE.
Peak positions follow from Bragg's law for the DFT cell and can differ from measured ones.

The 6 most intense peaks (2θ from 15° to 90°), most intense first:
- 24.4°, 3.645 Å, rel. 100
- 40.3°, 2.238 Å, rel. 67
- 48.0°, 1.897 Å, rel. 34
- 40.6°, 2.221 Å, rel. 33
- 73.7°, 1.285 Å, rel. 22
- 47.4°, 1.917 Å, rel. 17

Cell and atoms:
```
Li2Sc2AlGePt2
1.0
4.4418 0.0000 0.0000
0.0000 4.4418 0.0000
0.0000 0.0000 6.3768
Li Sc Al Ge Pt
2 2 1 1 2
direct
0.0000 0.5000 0.2473
0.5000 0.0000 0.7527
0.0000 0.0000 0.0000
0.5000 0.5000 0.5000
0.0000 0.0000 0.5000
0.5000 0.5000 0.0000
0.0000 0.5000 0.7435
0.5000 0.0000 0.2565
```

# Ho4SnP2
Theoretical powder XRD pattern, CuKα. Input: a crystal structure in OQMD, relaxed with GGA-PBE.
Peak positions follow from Bragg's law for the DFT cell and can differ from measured ones.

The 6 most intense peaks (2θ from 15° to 90°), most intense first:
- 27.2°, 3.284 Å, rel. 100
- 40.3°, 2.237 Å, rel. 72
- 37.2°, 2.418 Å, rel. 69
- 23.0°, 3.875 Å, rel. 63
- 31.7°, 2.824 Å, rel. 31
- 50.3°, 1.813 Å, rel. 23

Cell and atoms:
```
Ho4SnP2
1.0
4.4740 0.0000 0.0000
-2.2370 3.8746 0.0000
0.0000 0.0000 12.3762
Ho Sn P
4 1 2
direct
0.0000 0.0000 0.0000
0.0000 0.0000 0.4517
0.3333 0.6667 0.2652
0.3333 0.6667 0.7980
0.3333 0.6667 0.5598
0.0000 0.0000 0.2175
0.6667 0.3333 0.8978
```